Structure and theoretical powder XRD pattern of Tb2HoEr2Th (a cell relaxed with PBE; Cu Kα (weighted mean of Kα1 and Kα2)).

Largest 12 diffraction maxima, most intense first, 2θ from 10° to 90°:
d (Å)  intensity
2.943  100
2.872  88
2.915  74
2.421  68
2.726  67
2.530  33
1.461  31
1.465  25
2.790  24
1.804  24
3.378  23
2.680  23

Crystal structure
a b c (Å): 6.4338 6.7559 8.8754
angles (deg): 90.00 95.84 90.00
Sites, in units of the cell vectors:
Tb (0.1805, 0.9998, 0.1599)
Tb (0.1805, 0.5002, 0.1599)
Tb (0.8195, 0.0002, 0.8401)
Tb (0.8195, 0.4998, 0.8401)
Ho (0.3203, 0.2500, 0.8280)
Ho (0.6797, 0.7500, 0.1720)
Er (0.0719, 0.7500, 0.4905)
Er (0.4223, 0.2500, 0.4672)
Er (0.5777, 0.7500, 0.5328)
Er (0.9281, 0.2500, 0.5095)
Th (0.3127, 0.7500, 0.8442)
Th (0.6873, 0.2500, 0.1558)

***

Structure and theoretical powder XRD pattern of TbSmPd (a cell relaxed with PBE; Cu Kα (weighted mean of Kα1 and Kα2)).

Largest 12 diffraction maxima, most intense first, 2θ from 10° to 90°:
d (Å)  intensity
2.709  100
2.541  53
1.497  33
1.797  19
2.037  16
3.451  11
1.963  10
1.320  10
3.091  9
1.600  9
1.136  9
1.348  8

Crystal structure
a b c (Å): 6.6832 6.6832 6.6832
angles (deg): 148.81 148.81 44.70
Sites, in units of the cell vectors:
Tb (0.0000, 0.0000, 0.0000)
Sm (0.7249, 0.7249, 0.0000)
Pd (0.3709, 0.3709, 0.0000)

***

Structure and theoretical powder XRD pattern of AcMg2InPb (a cell relaxed with PBE; Cu Kα (weighted mean of Kα1 and Kα2)).

Largest 12 diffraction maxima, most intense first, 2θ from 10° to 90°:
d (Å)  intensity
2.622  100
4.173  68
3.359  48
2.839  43
4.903  42
2.666  42
2.502  36
1.877  27
2.451  25
2.960  24
2.196  21
3.103  19

Crystal structure
a b c (Å): 6.4378 6.4378 9.8053
angles (deg): 90.00 90.00 134.26
Sites, in units of the cell vectors:
Ac (0.0453, 0.9547, 0.7500)
Ac (0.9547, 0.0453, 0.2500)
Mg (0.2497, 0.7503, 0.0862)
Mg (0.2497, 0.7503, 0.4138)
Mg (0.7503, 0.2497, 0.5862)
Mg (0.7503, 0.2497, 0.9138)
In (0.5000, 0.5000, 0.0000)
In (0.5000, 0.5000, 0.5000)
Pb (0.3281, 0.6719, 0.7500)
Pb (0.6719, 0.3281, 0.2500)